This entry pairs a crystal structure of La8Tb3Y with its simulated PXRD pattern. Radiation: CuKα. Structure: the GGA-PBE geometry in Alexandria.

Largest 10 diffraction maxima, sorted by position, 10 to 90 degrees two-theta:
27.57°, d 3.235, intensity 192, hkl 1 2 -1
27.67°, d 3.224, intensity 93, hkl 2 1 1
30.15°, d 2.964, intensity 300, hkl 0 2 2
31.51°, d 2.839, intensity 1000, hkl 1 -2 1
31.62°, d 2.829, intensity 200, hkl 2 2 2
41.30°, d 2.186, intensity 126, hkl 1 0 -3
48.88°, d 1.863, intensity 156, hkl 3 3 0
54.42°, d 1.686, intensity 170, hkl -1 4 1
58.34°, d 1.582, intensity 92, hkl 0 5 -1
58.44°, d 1.579, intensity 91, hkl 3 1 -2

abc: 6.4474 8.7615 8.7797
angles: 79.54 68.50 68.57
Element x y z (fractional)
La 0.0000 0.0000 0.0000
La 0.0003 0.3300 0.6712
La 0.4130 0.2516 0.2482
La 0.4131 0.5832 0.9182
La 0.4997 0.4994 0.5006
La 0.5000 0.8308 0.1706
La 0.9118 0.0845 0.4195
La 0.9116 0.7529 0.7495
Tb 0.4187 0.9176 0.5839
Tb 0.4926 0.1655 0.8355
Tb 0.9186 0.4177 0.0839
Y 0.9934 0.6655 0.3355